Theoretical powder diffraction line list of Sr2TmReO6 for λ = 1.5418 Å (Cu Kα), from a DFT-relaxed cell (PBE, the Materials Project).
Peak positions follow from Bragg's law for the DFT cell and can differ from measured ones.

Largest 10 diffraction maxima, by angle, 2θ = 10–80°:
d = 4.142 Å, 21.45 deg, I = 22; d = 2.929 Å, 30.52 deg, I = 100; d = 2.392 Å, 37.61 deg, I = 1; d = 2.071 Å, 43.71 deg, I = 29; d = 1.852 Å, 49.19 deg, I = 9; d = 1.691 Å, 54.24 deg, I = 41; d = 1.464 Å, 63.53 deg, I = 18; d = 1.381 Å, 67.88 deg, I = 4; d = 1.310 Å, 72.11 deg, I = 18; d = 1.249 Å, 76.23 deg, I = 1

Structural model:
```
10
Lattice="0.0000 4.1422 4.1422 4.1422 0.0000 4.1422 4.1422 4.1422 0.0000" Properties=species:S:1:pos:R:3 pbc="T T T"
Sr 2.0711 2.0711 2.0711
Sr 6.2133 6.2133 6.2133
Tm 0.0000 0.0000 0.0000
Re 4.1422 4.1422 4.1422
O 4.1422 4.1422 2.1708
O 4.1422 2.1708 4.1422
O 6.1137 4.1422 4.1422
O 2.1708 4.1422 4.1422
O 4.1422 6.1137 4.1422
O 4.1422 4.1422 6.1137
```

=====

Theoretical powder diffraction line list of TaReO6 for λ = 1.5418 Å (Cu Kα), from a DFT-relaxed cell (PBE, the Materials Project).
Peak positions follow from Bragg's law for the DFT cell and can differ from measured ones.

Largest 10 diffraction maxima, by angle, 2θ = 10–80°:
d = 3.788 Å, 23.48 deg, I = 100; d = 3.754 Å, 23.70 deg, I = 49; d = 2.712 Å, 33.03 deg, I = 16; d = 2.666 Å, 33.61 deg, I = 58; d = 2.646 Å, 33.87 deg, I = 13; d = 2.163 Å, 41.76 deg, I = 13; d = 1.894 Å, 48.03 deg, I = 18; d = 1.691 Å, 54.24 deg, I = 21; d = 1.682 Å, 54.57 deg, I = 20; d = 1.531 Å, 60.45 deg, I = 20

Structural model:
```
16
Lattice="5.2928 0.0000 0.0000 0.0000 7.5079 0.0000 -0.0069 0.0000 5.4242" Properties=species:S:1:pos:R:3 pbc="T T T"
Ta 0.0000 0.0000 0.0000
Ta 0.0000 3.7539 0.0000
Re 2.6429 0.0000 2.7121
Re 2.6429 3.7539 2.7121
O 0.4588 1.8770 0.0880
O 1.1780 4.0742 1.5989
O 1.1780 7.1876 1.5989
O 1.5615 4.0456 4.2078
O 1.5615 7.2162 4.2078
O 2.2185 1.8770 2.7546
O 3.0674 5.6309 2.6696
O 3.7244 0.2916 1.2165
O 3.7244 3.4623 1.2165
O 4.1079 0.3202 3.8253
O 4.1079 3.4337 3.8253
O 4.8271 5.6309 5.3362
```

=====

Theoretical powder diffraction line list of ReTeO3 for λ = 1.5418 Å (Cu Kα), from a DFT-relaxed cell (PBE, the Materials Project).
Peak positions follow from Bragg's law for the DFT cell and can differ from measured ones.

Largest 8 diffraction maxima, by angle, 2θ = 10–80°:
d = 4.005 Å, 22.19 deg, I = 8; d = 2.832 Å, 31.59 deg, I = 100; d = 2.003 Å, 45.28 deg, I = 27; d = 1.791 Å, 50.98 deg, I = 4; d = 1.635 Å, 56.26 deg, I = 40; d = 1.416 Å, 65.96 deg, I = 17; d = 1.335 Å, 70.54 deg, I = 2; d = 1.267 Å, 74.98 deg, I = 17

Structural model:
```
5
Lattice="4.0055 0.0000 0.0000 0.0000 4.0055 0.0000 0.0000 0.0000 4.0055" Properties=species:S:1:pos:R:3 pbc="T T T"
Re 0.0000 0.0000 0.0000
Te 2.0027 2.0027 2.0027
O 0.0000 0.0000 2.0027
O 0.0000 2.0027 0.0000
O 2.0027 0.0000 0.0000
```

=====

What did the first record say?
Theoretical powder diffraction line list of Sr2TmReO6 for λ = 1.5418 Å (Cu Kα), from a DFT-relaxed cell (PBE, the Materials Project).
Peak positions follow from Bragg's law for the DFT cell and can differ from measured ones.

Largest 10 diffraction maxima, by angle, 2θ = 10–80°:
d = 4.142 Å, 21.45 deg, I = 22; d = 2.929 Å, 30.52 deg, I = 100; d = 2.392 Å, 37.61 deg, I = 1; d = 2.071 Å, 43.71 deg, I = 29; d = 1.852 Å, 49.19 deg, I = 9; d = 1.691 Å, 54.24 deg, I = 41; d = 1.464 Å, 63.53 deg, I = 18; d = 1.381 Å, 67.88 deg, I = 4; d = 1.310 Å, 72.11 deg, I = 18; d = 1.249 Å, 76.23 deg, I = 1

Structural model:
```
10
Lattice="0.0000 4.1422 4.1422 4.1422 0.0000 4.1422 4.1422 4.1422 0.0000" Properties=species:S:1:pos:R:3 pbc="T T T"
Sr 2.0711 2.0711 2.0711
Sr 6.2133 6.2133 6.2133
Tm 0.0000 0.0000 0.0000
Re 4.1422 4.1422 4.1422
O 4.1422 4.1422 2.1708
O 4.1422 2.1708 4.1422
O 6.1137 4.1422 4.1422
O 2.1708 4.1422 4.1422
O 4.1422 6.1137 4.1422
O 4.1422 4.1422 6.1137
```